(1)
Simulated PXRD pattern
Compound: LaNd2RuAu
Radiation: Cu Ka
Structure: the GGA-PBE geometry in Alexandria
Kinematic intensities with the Lorentz-polarization factor, no thermal factor.

Crystal structure
```
LaNd2RuAu
1.0
5.4287 0.0000 0.0000
0.0000 5.4287 0.0000
0.0000 0.0000 5.5950
La Nd Ru Au
1 2 1 1
Cartesian
0.0000 0.0000 0.0000
0.0000 2.7144 2.6059
2.7144 0.0000 2.6059
0.0000 0.0000 3.0797
2.7144 2.7144 0.9482
```

Largest 12 diffraction maxima, sorted by position, 5° ≤ 2θ ≤ 70°:
15.84°, I 34; 22.82°, I 42; 28.19°, I 100; 33.00°, I 98; 36.12°, I 34; 36.80°, I 17; 39.87°, I 32; 40.50°, I 19; 46.62°, I 22; 47.36°, I 36; 49.73°, I 27; 56.03°, I 30

---

(2)
Simulated PXRD pattern
Compound: LaNiAu11
Radiation: Cu Ka
Structure: the GGA-PBE geometry in Alexandria
Kinematic intensities with the Lorentz-polarization factor, no thermal factor.

Crystal structure
```
LaNiAu11
1.0
2.7802 -6.8137 0.0000
2.7802 6.8137 0.0000
-2.7212 0.0000 6.6357
La Ni Au
1 1 11
Cartesian
0.0000 0.0000 0.0000
-1.3606 0.0000 3.3179
1.3901 3.4068 0.0000
0.1414 4.5297 4.2722
-0.0125 1.4275 5.1912
2.6977 4.5297 2.3635
-0.0125 -1.4275 5.1912
1.3901 -3.4068 0.0000
1.4196 0.0000 3.3179
2.8516 1.4275 1.4446
0.1414 -4.5297 4.2722
2.8516 -1.4275 1.4446
2.6977 -4.5297 2.3635
```

Largest 12 diffraction maxima, sorted by position, 5° ≤ 2θ ≤ 70°:
32.20°, I 29; 32.43°, I 43; 37.37°, I 100; 37.58°, I 51; 37.85°, I 83; 38.01°, I 27; 38.28°, I 51; 41.94°, I 67; 42.06°, I 42; 42.24°, I 49; 42.58°, I 37; 67.41°, I 36

---

Number 2 is which compound?
LaNiAu11

---

What is the formula in the first record?
LaNd2RuAu